This entry pairs a crystal structure of CoNiGeO4 with its calculated powder diffractogram. Radiation: Cu Kα, 1.54184 Å. Structure: a structure optimized by DFT (PBE+U).
No peak broadening, texture or thermal motion is included.

The 6 most intense peaks (15 to 90 degrees two-theta), most intense first:
two_theta, I/Imax
35.61, 100.0
35.73, 66.6
63.07, 41.9
35.43, 34.5
30.32, 32.9
62.80, 28.3

Crystal structure
Lattice parameters (Å, degrees): 8.3377 8.3458 5.8915 90.00 134.57 90.00
Space group C2/c (No. 15)
Unique sites:
Co (0.0000, 0.0000, 0.0000) (multiplicity 4)
Ni (0.2500, 0.2500, 0.0000) (multiplicity 4)
Ge (0.0000, 0.3758, 0.2500) (multiplicity 4)
O (0.0011, 0.2508, 0.5013) (multiplicity 8)
O (0.2473, 0.5003, 0.4954) (multiplicity 8)